For RbLaMg14, a crystal structure in Alexandria, relaxed with GGA-PBE gives the computed X-ray powder pattern in this record (Cu Kα (λ = 1.5418 Å)).

Structural model:
a b c (Å): 6.8117 6.8117 10.6010
angles (deg): 90.00 90.00 120.00
Positions (direct):
Rb 0.0000 0.0000 0.0000
La 0.0000 0.0000 0.5000
Mg 0.0075 0.5037 0.0000
Mg 0.0076 0.5038 0.5000
Mg 0.1764 0.3527 0.2564
Mg 0.1764 0.3527 0.7436
Mg 0.1764 0.8236 0.2564
Mg 0.1764 0.8236 0.7436
Mg 0.4963 0.5037 0.0000
Mg 0.4962 0.5038 0.5000
Mg 0.4962 0.9924 0.5000
Mg 0.4963 0.9925 0.0000
Mg 0.6473 0.8236 0.2564
Mg 0.6473 0.8236 0.7436
Mg 0.6667 0.3333 0.2537
Mg 0.6667 0.3333 0.7463

The 10 most intense peaks (10° ≤ 2θ ≤ 80°), sorted by position:
5.899 Å, I = 38; 3.943 Å, I = 39; 2.950 Å, I = 30; 2.865 Å, I = 15; 2.650 Å, I = 23; 2.577 Å, I = 100; 1.971 Å, I = 18; 1.703 Å, I = 18; 1.516 Å, I = 18; 1.433 Å, I = 19

---

For Er2ThGe2, a crystal structure in Alexandria, relaxed with GGA-PBE gives the computed X-ray powder pattern in this record (Cu Kα (λ = 1.5418 Å)).

Structural model:
a b c (Å): 7.5028 7.5028 5.9216
angles (deg): 111.04 111.04 96.74
Positions (direct):
Er 0.0695 0.2810 0.4843
Er 0.2810 0.0695 0.9843
Er 0.7190 0.9305 0.0157
Er 0.9305 0.7190 0.5157
Th 0.3789 0.6211 0.2500
Th 0.6211 0.3789 0.7500
Ge 0.1133 0.8867 0.2500
Ge 0.3367 0.6633 0.7500
Ge 0.6633 0.3367 0.2500
Ge 0.8867 0.1133 0.7500

The 10 most intense peaks (10° ≤ 2θ ≤ 80°), sorted by position:
3.599 Å, I = 88; 3.365 Å, I = 73; 2.955 Å, I = 100; 2.804 Å, I = 90; 2.713 Å, I = 67; 2.566 Å, I = 83; 2.483 Å, I = 30; 2.034 Å, I = 56; 1.642 Å, I = 26; 1.459 Å, I = 31

---

For Ba6Pt2Cl, a crystal structure in Alexandria, relaxed with GGA-PBE gives the computed X-ray powder pattern in this record (Cu Kα (λ = 1.5418 Å)).

Structural model:
a b c (Å): 8.8801 8.8801 8.8801
angles (deg): 53.46 53.46 53.46
Positions (direct):
Ba 0.9995 0.3431 0.6573
Ba 0.1916 0.8075 0.5000
Ba 0.3431 0.6573 0.9995
Ba 0.5000 0.1916 0.8075
Ba 0.6573 0.9995 0.3431
Ba 0.8075 0.5000 0.1916
Pt 0.4115 0.4115 0.4115
Pt 0.5886 0.5886 0.5886
Cl 0.9176 0.9176 0.9176

The 10 most intense peaks (10° ≤ 2θ ≤ 80°), sorted by position:
6.620 Å, I = 54; 5.912 Å, I = 17; 3.535 Å, I = 100; 2.751 Å, I = 82; 2.306 Å, I = 47; 2.137 Å, I = 25; 1.931 Å, I = 17; 1.767 Å, I = 20; 1.465 Å, I = 21; 1.403 Å, I = 17

---

Please write out number 3 again, unchanged.
For Ba6Pt2Cl, a crystal structure in Alexandria, relaxed with GGA-PBE gives the computed X-ray powder pattern in this record (Cu Kα (λ = 1.5418 Å)).

Structural model:
a b c (Å): 8.8801 8.8801 8.8801
angles (deg): 53.46 53.46 53.46
Positions (direct):
Ba 0.9995 0.3431 0.6573
Ba 0.1916 0.8075 0.5000
Ba 0.3431 0.6573 0.9995
Ba 0.5000 0.1916 0.8075
Ba 0.6573 0.9995 0.3431
Ba 0.8075 0.5000 0.1916
Pt 0.4115 0.4115 0.4115
Pt 0.5886 0.5886 0.5886
Cl 0.9176 0.9176 0.9176

The 10 most intense peaks (10° ≤ 2θ ≤ 80°), sorted by position:
6.620 Å, I = 54; 5.912 Å, I = 17; 3.535 Å, I = 100; 2.751 Å, I = 82; 2.306 Å, I = 47; 2.137 Å, I = 25; 1.931 Å, I = 17; 1.767 Å, I = 20; 1.465 Å, I = 21; 1.403 Å, I = 17